No. 1
Diffraction record for TeMo2Ir. The X-ray diffraction stick pattern is simulated, not measured: it uses a cell relaxed with PBE and Cu Kα (weighted mean of Kα1 and Kα2).

Main lines, by intensity (10° ≤ 2θ ≤ 90°):
d [Å], 2theta, I_rel
2.294, 39.28, 100
1.324, 71.20, 34
1.622, 56.76, 17
1.147, 84.47, 11
3.746, 23.75, 8
1.956, 46.42, 5
3.244, 27.50, 2
1.488, 62.39, 2

Crystal structure
```
4
Lattice="0.000 3.244 3.244 3.244 0.000 3.244 3.244 3.244 0.000" Properties=species:S:1:pos:R:3 pbc="T T T"
Te 0.000 0.000 0.000
Mo 3.244 3.244 3.244
Mo 4.866 4.866 4.866
Ir 1.622 1.622 1.622
```

No. 2
Diffraction record for Zr3Mo2Ir2. The X-ray diffraction stick pattern is simulated, not measured: it uses a cell relaxed with PBE and Cu Kα (weighted mean of Kα1 and Kα2).

Main lines, by intensity (10° ≤ 2θ ≤ 90°):
d [Å], 2theta, I_rel
2.290, 39.35, 100
2.278, 39.55, 97
1.320, 71.48, 33
1.615, 57.02, 33
3.230, 27.62, 30
3.736, 23.82, 20
1.322, 71.35, 17
1.313, 71.89, 15

Crystal structure
```
7
Lattice="2.290 1.322 7.423 -2.290 1.322 7.423 0.000 -2.644 7.423" Properties=species:S:1:pos:R:3 pbc="T T T"
Zr 0.000 0.000 0.000
Zr 0.000 0.000 5.461
Zr 0.000 0.000 10.958
Mo 0.000 0.000 2.633
Mo 0.000 0.000 13.939
Ir 0.000 0.000 8.309
Ir 0.000 0.000 19.382
```